Rb2ErVO4: calculated powder X-ray diffraction pattern (Cu Kα (λ = 1.5418 Å)), based on DFT lattice parameters and positions (PBE+U).
No peak broadening, texture or thermal motion is included.

The 12 most intense peaks (2θ = 10–80°), in order of rising 2θ:
- 2θ 15.82, I = 40, (0 2 2)
- 2θ 16.09, I = 100, (0 0 4)
- 2θ 17.28, I = 59, (1 1 1)
- 2θ 26.02, I = 34, (1 3 1)
- 2θ 26.35, I = 49, (1 1 5)
- 2θ 27.42, I = 46, (0 4 0)
- 2θ 27.90, I = 82, (0 2 6)
- 2θ 32.87, I = 56, (1 3 5)
- 2θ 33.98, I = 57, (2 2 0)
- 2θ 43.35, I = 40, (0 2 10)
- 2θ 48.94, I = 34, (2 4 6)
- 2θ 52.80, I = 31, (2 6 0)

Structure:
a b c (Å): 5.773 13.009 22.032
angles (deg): 90.00 90.00 90.00
Space group Fddd (No. 70, origin choice 2)
Asymmetric unit:
Rb1 0.125 0.125 0.315 (multiplicity 16)
Er1 0.125 0.125 0.125 (multiplicity 8)
V1 0.125 0.125 0.625 (multiplicity 8)
O1 0.104 0.285 0.837 (multiplicity 32)